# 1
For Tb2Pm2Te5, a crystal structure in Alexandria, relaxed with PBE gives the simulated PXRD pattern in this record (a wavelength of 1.5418 Å).

Structure:
a = 10.877 Å, b = 10.877 Å, c = 10.877 Å
α = 63.19°, β = 137.62°, γ = 135.42°
Element x y z (fractional)
1 Tb 0.000 0.000 0.000
2 Tb 0.000 0.500 0.500
3 Tb 0.209 0.987 0.722
4 Tb 0.264 0.487 0.278
5 Pm 0.593 0.204 0.591
6 Pm 0.593 0.502 0.888
7 Pm 0.613 0.002 0.409
8 Pm 0.613 0.704 0.112
9 Te 0.099 0.094 0.313
10 Te 0.099 0.286 0.505
11 Te 0.102 0.354 0.869
12 Te 0.102 0.733 0.247
13 Te 0.387 0.811 0.076
14 Te 0.485 0.233 0.131
15 Te 0.485 0.854 0.753
16 Te 0.734 0.311 0.924
17 Te 0.781 0.594 0.495
18 Te 0.781 0.786 0.687

The 10 most intense peaks (15 to 90 degrees two-theta), sorted by position:
d (Å), 2θ/deg, Rel. int.
3.592, 24.79, 66
3.486, 25.55, 26
3.352, 26.59, 41
3.145, 28.38, 36
2.718, 32.96, 100
2.597, 34.54, 52
2.472, 36.34, 25
2.412, 37.28, 24
2.199, 41.05, 48
1.699, 53.97, 24



# 2
For Ce2TlFe, a crystal structure in Alexandria, relaxed with PBE gives the simulated PXRD pattern in this record (a wavelength of 1.5418 Å).

Structure:
a = 5.024 Å, b = 10.786 Å, c = 6.822 Å
α = 90.00°, β = 90.00°, γ = 90.00°
Element x y z (fractional)
1 Ce 0.250 0.105 0.000
2 Ce 0.250 0.395 0.500
3 Ce 0.250 0.695 0.250
4 Ce 0.250 0.805 0.750
5 Ce 0.750 0.195 0.750
6 Ce 0.750 0.305 0.250
7 Ce 0.750 0.605 0.500
8 Ce 0.750 0.895 0.000
9 Tl 0.250 0.094 0.482
10 Tl 0.250 0.406 0.982
11 Tl 0.750 0.594 0.982
12 Tl 0.750 0.906 0.482
13 Fe 0.250 0.603 0.704
14 Fe 0.250 0.897 0.204
15 Fe 0.750 0.103 0.204
16 Fe 0.750 0.397 0.704

The 10 most intense peaks (15 to 90 degrees two-theta), sorted by position:
d (Å), 2θ/deg, Rel. int.
2.924, 30.58, 54
2.883, 31.02, 19
2.730, 32.81, 100
2.697, 33.22, 15
2.512, 35.75, 45
2.244, 40.19, 13
2.220, 40.64, 43
1.591, 57.97, 15
1.489, 62.37, 16
1.473, 63.11, 23



# 3
For CaTlAuSeNF, a crystal structure in Alexandria, relaxed with PBE gives the simulated PXRD pattern in this record (a wavelength of 1.5418 Å).

Structure:
a = 3.954 Å, b = 4.115 Å, c = 15.952 Å
α = 90.00°, β = 90.00°, γ = 90.00°
Element x y z (fractional)
1 Ca 0.000 0.000 0.000
2 Ca 0.500 0.500 0.500
3 Tl 0.000 0.500 0.731
4 Tl 0.500 0.000 0.231
5 Au 0.000 0.000 0.402
6 Au 0.500 0.500 0.902
7 Se 0.000 0.500 0.191
8 Se 0.500 0.000 0.691
9 N 0.000 0.500 0.904
10 N 0.500 0.000 0.404
11 F 0.000 0.500 0.556
12 F 0.500 0.000 0.056

The 10 most intense peaks (15 to 90 degrees two-theta), sorted by position:
d (Å), 2θ/deg, Rel. int.
3.986, 22.31, 82
3.173, 28.12, 40
2.685, 33.37, 100
2.659, 33.71, 20
2.521, 35.61, 27
2.319, 38.83, 29
2.057, 44.01, 18
1.993, 45.50, 19
1.977, 45.91, 21
1.771, 51.60, 18



# 4
For Tl5Cd3Cl12, a crystal structure in Alexandria, relaxed with PBE gives the simulated PXRD pattern in this record (a wavelength of 1.5418 Å).

Structure:
a = 12.800 Å, b = 12.800 Å, c = 4.083 Å
α = 90.00°, β = 90.00°, γ = 120.00°
Element x y z (fractional)
1 Tl 0.000 0.284 0.000
2 Tl 0.284 0.000 0.000
3 Tl 0.333 0.667 0.000
4 Tl 0.667 0.333 0.000
5 Tl 0.716 0.716 0.000
6 Cd 0.000 0.670 0.500
7 Cd 0.330 0.330 0.500
8 Cd 0.670 0.000 0.500
9 Cl 0.000 0.535 0.000
10 Cl 0.000 0.811 0.000
11 Cl 0.189 0.189 0.000
12 Cl 0.205 0.445 0.500
13 Cl 0.240 0.795 0.500
14 Cl 0.445 0.205 0.500
15 Cl 0.465 0.465 0.000
16 Cl 0.535 0.000 0.000
17 Cl 0.555 0.760 0.500
18 Cl 0.760 0.555 0.500
19 Cl 0.795 0.240 0.500
20 Cl 0.811 0.000 0.000

The 10 most intense peaks (15 to 90 degrees two-theta), sorted by position:
d (Å), 2θ/deg, Rel. int.
5.543, 15.99, 33
4.190, 21.21, 28
3.695, 24.08, 100
3.442, 25.88, 85
2.924, 30.57, 68
2.543, 35.29, 27
2.519, 35.65, 49
2.159, 41.85, 29
2.081, 43.48, 49
1.788, 51.09, 42